Ce4Sb2PS: simulated powder X-ray diffraction pattern (Cu Kα X-rays), based on the GGA-PBE geometry in Alexandria.
No peak broadening, texture or thermal motion is included.

The 12 most intense peaks (10 to 80 degrees two-theta), by angle:
d_spacing  2θ/deg  intensity  (hkl)
3.646  24.4  10  0 1 3
3.499  25.5  7  0 2 2
3.483  25.6  7  2 0 2
3.023  29.5  100  2 2 0
2.145  42.1  12  0 4 0
2.138  42.3  48  2 2 4
2.131  42.4  12  4 0 0
1.750  52.3  12  0 4 4
1.741  52.5  12  4 0 4
1.512  61.3  11  4 4 0
1.352  69.5  19  4 4 4
1.231  77.5  7  6 2 4

Structural model:
a b c (Å): 8.522 8.582 12.092
angles (deg): 90.00 90.00 90.00
Space group Imma (No. 74)
Inequivalent atoms, fractional coordinates:
1 Ce 0.000 0.020 0.241
2 Ce 0.232 0.250 0.010
3 Sb 0.000 0.000 0.500
4 Sb 0.250 0.250 0.750
5 P 0.250 0.250 0.250
6 S 0.000 0.000 0.000

---

LiGa8Pt6: simulated powder X-ray diffraction pattern (Cu Kα X-rays), based on the GGA-PBE geometry in Alexandria.
No peak broadening, texture or thermal motion is included.

The 12 most intense peaks (10 to 80 degrees two-theta), by angle:
d_spacing  2θ/deg  intensity  (hkl)
5.258  16.9  10  0 0 3
3.711  24.0  28  1 1 0
3.032  29.5  26  1 1 3
2.144  42.2  100  1 1 6
1.984  45.7  5  0 3 3
1.855  49.1  4  2 2 0
1.750  52.3  7  0 0 9
1.661  55.3  5  0 3 6
1.516  61.1  17  4 -2 6
1.356  69.3  8  3 0 9
1.239  77.0  8  2 -1 12
1.237  77.1  24  4 1 6

Structural model:
a b c (Å): 7.4217 7.4217 15.7725
angles (deg): 90.00 90.00 120.00
Space group R-3 (No. 148, hexagonal axes)
Inequivalent atoms, fractional coordinates:
1 Li 0.0000 0.0000 0.0000
2 Ga 0.0000 0.0000 0.3342
3 Ga 0.0048 0.3156 0.1170
4 Pt 0.0020 0.3410 0.9437

---

Hf3ZnCo8: simulated powder X-ray diffraction pattern (Cu Kα X-rays), based on the GGA-PBE geometry in Alexandria.
No peak broadening, texture or thermal motion is included.

The 12 most intense peaks (10 to 80 degrees two-theta), by angle:
d_spacing  2θ/deg  intensity  (hkl)
3.938  22.6  14  0 1 2
3.130  28.5  4  0 1 5
2.627  34.1  5  1 0 7
2.411  37.3  63  1 1 0
2.056  44.0  100  2 0 2
1.969  46.1  16  0 2 4
1.394  67.2  5  1 0 16
1.392  67.3  17  3 0 0
1.314  71.9  6  0 0 18
1.312  72.0  22  2 1 10
1.207  79.4  10  0 2 16
1.205  79.6  11  2 2 0

Structural model:
a b c (Å): 4.8193 4.8193 23.6601
angles (deg): 90.00 90.00 120.00
Space group R3m (No. 160, hexagonal axes)
Inequivalent atoms, fractional coordinates:
1 Hf 0.0000 0.0000 0.0000
2 Hf 0.0000 0.0000 0.1284
3 Hf 0.0000 0.0000 0.6167
4 Zn 0.0000 0.0000 0.4956
5 Co 0.0000 0.0000 0.3112
6 Co 0.0000 0.0000 0.8116
7 Co 0.0006 0.5003 0.0613
8 Co 0.0017 0.5008 0.5610

---

TlGaAgPt: simulated powder X-ray diffraction pattern (Cu Kα X-rays), based on the GGA-PBE geometry in Alexandria.
No peak broadening, texture or thermal motion is included.

The 12 most intense peaks (10 to 80 degrees two-theta), by angle:
d_spacing  2θ/deg  intensity  (hkl)
3.372  26.4  17  0 0 2
3.243  27.5  39  0 1 1
2.965  30.1  36  1 0 1
2.492  36.0  48  0 1 2
2.359  38.1  17  1 0 2
2.313  38.9  100  1 1 1
2.248  40.1  23  0 0 3
1.989  45.6  23  1 1 2
1.858  49.0  16  1 0 3
1.849  49.3  19  0 2 0
1.391  67.3  21  1 1 4
1.376  68.1  15  2 1 2

Structural model:
a b c (Å): 3.301 3.699 6.745
angles (deg): 90.00 90.00 90.00
Space group Pmm2 (No. 25)
Inequivalent atoms, fractional coordinates:
1 Tl 0.000 0.000 0.000
2 Ga 0.500 0.000 0.432
3 Ag 0.500 0.500 0.730
4 Pt 0.000 0.500 0.356

---

ReGe2H2: simulated powder X-ray diffraction pattern (Cu Kα X-rays), based on the GGA-PBE geometry in Alexandria.
No peak broadening, texture or thermal motion is included.

The 12 most intense peaks (10 to 80 degrees two-theta), by angle:
d_spacing  2θ/deg  intensity  (hkl)
3.502  25.4  100  1 0 1
3.285  27.1  2  1 1 0
2.323  38.8  57  2 0 0
2.070  43.7  80  1 1 2
1.936  46.9  39  2 1 1
1.660  55.4  13  1 0 3
1.642  56.0  20  2 2 0
1.487  62.5  9  3 0 1
1.350  69.6  13  2 1 3
1.333  70.7  5  0 0 4
1.287  73.6  34  3 1 2
1.252  76.0  10  3 2 1

Structural model:
a b c (Å): 4.646 4.646 5.331
angles (deg): 90.00 90.00 90.00
Space group I4/mmm (No. 139)
Inequivalent atoms, fractional coordinates:
1 Re 0.000 0.000 0.000
2 Ge 0.000 0.500 0.250
3 H 0.000 0.000 0.327

---

SrRe2Ni: simulated powder X-ray diffraction pattern (Cu Kα X-rays), based on the GGA-PBE geometry in Alexandria.
No peak broadening, texture or thermal motion is included.

The 12 most intense peaks (10 to 80 degrees two-theta), by angle:
d_spacing  2θ/deg  intensity  (hkl)
5.515  16.1  100  0 0 3
3.623  24.6  15  1 0 1
2.761  32.4  94  0 0 6
2.144  42.2  74  1 1 0
1.998  45.4  44  1 1 3
1.994  45.5  16  1 0 7
1.693  54.2  58  1 1 6
1.511  61.3  22  1 0 10
1.329  70.9  14  2 1 4
1.238  77.1  12  3 0 0
1.235  77.2  11  0 2 10
1.207  79.4  15  3 0 3

Structural model:
a b c (Å): 4.2876 4.2876 16.5460
angles (deg): 90.00 90.00 120.00
Space group R3m (No. 160, hexagonal axes)
Inequivalent atoms, fractional coordinates:
1 Sr 0.0000 0.0000 0.0000
2 Re 0.0000 0.0000 0.5046
3 Re 0.0000 0.0000 0.8040
4 Ni 0.0000 0.0000 0.1881

---

Which formula does entry 4 have? TlGaAgPt

---

Which formula does entry 6 have? SrRe2Ni